Ti2S: calculated X-ray powder pattern (Cu Ka), based on a cell relaxed with PBE.

Principal peaks in the range 2θ = 10–90°, in order of rising 2θ:
(hkl)  2θ/deg  I_rel
3 0 1  35.94  43
1 4 1  38.12  50
2 4 1  40.62  100
3 3 1  40.94  96
0 5 1  42.13  46
0 0 2  55.26  42

Atomic structure:
```
data_Ti2S
_symmetry_space_group_name_H-M 'P n n m'
_symmetry_Int_Tables_number 58
_symmetry_space_group_name_Hall '-P 2 2n'
_cell_length_a 11.3640
_cell_length_b 14.0336
_cell_length_c 3.3249
_cell_angle_alpha 90.00
_cell_angle_beta 90.00
_cell_angle_gamma 90.00
loop_
_atom_site_label
_atom_site_type_symbol
_atom_site_fract_x
_atom_site_fract_y
_atom_site_fract_z
Ti1 Ti 0.0307 0.1098 0.0000
Ti2 Ti 0.0861 0.7446 0.5000
Ti3 Ti 0.0877 0.5792 0.0000
Ti4 Ti 0.1198 0.4222 0.5000
Ti5 Ti 0.1539 0.9794 0.5000
Ti6 Ti 0.1916 0.2077 0.5000
S1 S 0.0683 0.2933 0.0000
S2 S 0.1845 0.8502 0.0000
S3 S 0.2450 0.5877 0.5000
```

---

Ag13OsO6: calculated X-ray powder pattern (Cu Ka), based on a cell relaxed with PBE.

Principal peaks in the range 2θ = 10–90°, in order of rising 2θ:
(hkl)  2θ/deg  I_rel
4 2 0  29.80  28
4 2 2  32.72  48
5 3 1  39.78  100
6 0 0  40.36  23
6 2 0  42.65  20
10 6 0  84.22  14

Atomic structure:
```
data_Ag13OsO6
_symmetry_space_group_name_H-M 'F m -3 c'
_symmetry_Int_Tables_number 226
_symmetry_space_group_name_Hall '-F 4a 2 3'
_cell_length_a 13.4072
_cell_length_b 13.4072
_cell_length_c 13.4072
_cell_angle_alpha 90.00
_cell_angle_beta 90.00
_cell_angle_gamma 90.00
loop_
_atom_site_label
_atom_site_type_symbol
_atom_site_fract_x
_atom_site_fract_y
_atom_site_fract_z
Ag1 Ag 0.0000 0.0000 0.0000
Ag2 Ag 0.0000 0.1140 0.1783
Os1 Os 0.2500 0.2500 0.2500
O1 O 0.1069 0.2500 0.2500
```

---

Ca10P6CO27: calculated X-ray powder pattern (Cu Ka), based on a cell relaxed with PBE.

Principal peaks in the range 2θ = 10–90°, in order of rising 2θ:
(hkl)  2θ/deg  I_rel
2 0 0  25.69  54
1 -2 1  30.88  68
0 0 3  31.42  100
2 2 1  31.72  70
0 3 0  32.13  41
0 3 3  32.74  46

Atomic structure:
```
data_Ca10P6CO27
_symmetry_space_group_name_H-M 'P 1'
_symmetry_Int_Tables_number 1
_symmetry_space_group_name_Hall 'P 1'
_cell_length_a 6.9352
_cell_length_b 9.4743
_cell_length_c 9.6703
_cell_angle_alpha 61.93
_cell_angle_beta 89.77
_cell_angle_gamma 89.09
loop_
_atom_site_label
_atom_site_type_symbol
_atom_site_fract_x
_atom_site_fract_y
_atom_site_fract_z
Ca1 Ca 0.0000 0.0000 0.0000
Ca2 Ca 0.9998 0.3032 0.4566
Ca3 Ca 0.0058 0.7617 0.7258
Ca4 Ca 0.2474 0.3487 0.0640
Ca5 Ca 0.2731 0.6959 0.3804
Ca6 Ca 0.5053 0.2655 0.7303
Ca7 Ca 0.5121 0.7388 0.0010
Ca8 Ca 0.5219 0.0388 0.4728
Ca9 Ca 0.7415 0.3561 0.0416
Ca10 Ca 0.7742 0.6970 0.4041
P1 P 0.0029 0.3763 0.7578
P2 P 0.0036 0.6145 0.0974
P3 P 0.0180 0.0463 0.3303
P4 P 0.5070 0.4253 0.3444
P5 P 0.5077 0.6559 0.6892
P6 P 0.5110 0.9901 0.1261
C1 C 0.2744 0.0229 0.7231
O1 O 0.0002 0.4878 0.5770
O2 O 0.0052 0.6908 0.2092
O3 O 0.0264 0.8607 0.3971
O4 O 0.1199 0.9536 0.7971
O5 O 0.1882 0.2711 0.8181
O6 O 0.2012 0.6273 0.0171
O7 O 0.2180 0.1171 0.3261
O8 O 0.2646 0.1456 0.5873
O9 O 0.2999 0.4408 0.3939
O10 O 0.3207 0.9140 0.1086
O11 O 0.3263 0.7666 0.6327
O12 O 0.4487 0.9765 0.7791
O13 O 0.4969 0.1763 0.0432
O14 O 0.5083 0.5445 0.8693
O15 O 0.5119 0.3615 0.2221
O16 O 0.5136 0.5540 0.5996
O17 O 0.5481 0.9162 0.3071
O18 O 0.5858 0.5991 0.2707
O19 O 0.6371 0.3104 0.4859
O20 O 0.6758 0.9362 0.0527
O21 O 0.6879 0.7656 0.6353
O22 O 0.8291 0.2606 0.8077
O23 O 0.8455 0.6955 0.9688
O24 O 0.8760 0.0815 0.4361
O25 O 0.9476 0.1292 0.1552
O26 O 0.9608 0.4307 0.1876
O27 O 0.9902 0.4781 0.8466
```

---

Ho3Ru2: calculated X-ray powder pattern (Cu Ka), based on a cell relaxed with PBE.

Principal peaks in the range 2θ = 10–90°, in order of rising 2θ:
(hkl)  2θ/deg  I_rel
1 1 1  30.28  100
2 0 1  33.30  51
1 2 0  36.29  45
3 0 0  41.36  36
2 1 2  53.65  24
2 3 1  65.16  24

Atomic structure:
```
data_Ho3Ru2
_symmetry_space_group_name_H-M 'P 63/m'
_symmetry_Int_Tables_number 176
_symmetry_space_group_name_Hall '-P 6c'
_cell_length_a 7.5621
_cell_length_b 7.5621
_cell_length_c 4.7219
_cell_angle_alpha 90.00
_cell_angle_beta 90.00
_cell_angle_gamma 120.00
loop_
_atom_site_label
_atom_site_type_symbol
_atom_site_fract_x
_atom_site_fract_y
_atom_site_fract_z
Ho1 Ho 0.0787 0.3834 0.2500
Ru1 Ru 0.0000 0.0000 0.0000
Ru2 Ru 0.3333 0.6667 0.7500
```